For K2ZnBr4, a crystal structure in the Materials Project, relaxed with PBE gives the simulated PXRD pattern in this record (copper Kα).
No peak broadening, texture or thermal motion is included.

Structure:
Cell: 7.364 7.633 9.326 Å, 90.00 108.87 90.00°
Atoms (fractional coordinates):
K  0.206  0.250  0.045
K  0.279  0.250  0.574
K  0.721  0.750  0.426
K  0.794  0.750  0.955
Zn  0.218  0.750  0.794
Zn  0.782  0.250  0.206
Br  0.000  0.001  0.734
Br  0.000  0.499  0.734
Br  0.000  0.501  0.266
Br  0.000  0.999  0.266
Br  0.393  0.750  0.065
Br  0.425  0.750  0.637
Br  0.575  0.250  0.363
Br  0.607  0.250  0.935

The 12 most intense peaks (2θ from 15° to 90°), by intensity:
| two_theta | I (rel.) |
| --- | --- |
| 26.63 | 100 |
| 30.95 | 72 |
| 26.99 | 63 |
| 27.19 | 50 |
| 29.47 | 48 |
| 29.65 | 43 |
| 38.62 | 42 |
| 15.35 | 38 |
| 47.64 | 38 |
| 34.87 | 34 |
| 44.60 | 33 |
| 20.08 | 32 |

For LaBr, a crystal structure in the Materials Project, relaxed with PBE gives the simulated PXRD pattern in this record (copper Kα).
No peak broadening, texture or thermal motion is included.

Structure:
Cell: 4.132 4.132 31.904 Å, 90.00 90.00 120.00°
Atoms (fractional coordinates):
La  0.000  0.000  0.120
La  0.000  0.000  0.880
La  0.333  0.667  0.547
La  0.333  0.667  0.787
La  0.667  0.333  0.213
La  0.667  0.333  0.453
Br  0.000  0.000  0.393
Br  0.000  0.000  0.607
Br  0.333  0.667  0.059
Br  0.333  0.667  0.274
Br  0.667  0.333  0.726
Br  0.667  0.333  0.941

The 12 most intense peaks (2θ from 15° to 90°), by intensity:
| two_theta | I (rel.) |
| --- | --- |
| 27.32 | 100 |
| 33.66 | 54 |
| 43.82 | 30 |
| 56.38 | 23 |
| 52.41 | 16 |
| 47.25 | 16 |
| 16.67 | 15 |
| 70.64 | 13 |
| 37.78 | 13 |
| 69.95 | 10 |
| 74.01 | 9 |
| 31.79 | 8 |

For La3Br, a crystal structure in the Materials Project, relaxed with PBE gives the simulated PXRD pattern in this record (copper Kα).
No peak broadening, texture or thermal motion is included.

Structure:
Cell: 4.968 4.968 4.968 Å, 90.00 90.00 90.00°
Atoms (fractional coordinates):
La  0.000  0.000  0.500
La  0.000  0.500  0.000
La  0.500  0.000  0.000
Br  0.500  0.500  0.500

The 12 most intense peaks (2θ from 15° to 90°), by intensity:
| two_theta | I (rel.) |
| --- | --- |
| 31.18 | 100 |
| 36.16 | 50 |
| 61.95 | 41 |
| 52.07 | 35 |
| 85.13 | 17 |
| 87.89 | 16 |
| 65.04 | 12 |
| 76.74 | 6 |
| 17.85 | 3 |
| 25.35 | 3 |
| 40.61 | 2 |
| 44.68 | 1 |

For La2Br5, a crystal structure in the Materials Project, relaxed with PBE gives the simulated PXRD pattern in this record (copper Kα).
No peak broadening, texture or thermal motion is included.

Structure:
Cell: 8.048 4.301 13.606 Å, 90.00 91.06 90.00°
Atoms (fractional coordinates):
La  0.072  0.250  0.338
La  0.427  0.750  0.159
La  0.573  0.250  0.841
La  0.928  0.750  0.662
Br  0.049  0.750  0.177
Br  0.146  0.250  0.570
Br  0.313  0.250  0.013
Br  0.333  0.750  0.771
Br  0.341  0.750  0.379
Br  0.659  0.250  0.621
Br  0.667  0.250  0.229
Br  0.687  0.750  0.987
Br  0.854  0.750  0.430
Br  0.951  0.250  0.823

The 12 most intense peaks (2θ from 15° to 90°), by intensity:
| two_theta | I (rel.) |
| --- | --- |
| 33.39 | 100 |
| 30.42 | 75 |
| 26.81 | 73 |
| 33.60 | 69 |
| 42.02 | 65 |
| 40.29 | 53 |
| 31.23 | 45 |
| 29.40 | 45 |
| 30.87 | 38 |
| 28.62 | 36 |
| 40.99 | 34 |
| 33.95 | 34 |

For LaBr3, a crystal structure in the Materials Project, relaxed with PBE gives the simulated PXRD pattern in this record (copper Kα).
No peak broadening, texture or thermal motion is included.

Structure:
Cell: 8.127 8.127 4.512 Å, 90.00 90.00 120.00°
Atoms (fractional coordinates):
La  0.333  0.667  0.250
La  0.667  0.333  0.750
Br  0.087  0.698  0.750
Br  0.302  0.389  0.750
Br  0.389  0.087  0.250
Br  0.611  0.913  0.750
Br  0.698  0.611  0.250
Br  0.913  0.302  0.250

The 12 most intense peaks (2θ from 15° to 90°), by intensity:
| two_theta | I (rel.) |
| --- | --- |
| 32.26 | 100 |
| 29.58 | 73 |
| 39.32 | 63 |
| 60.94 | 38 |
| 38.37 | 36 |
| 33.69 | 35 |
| 39.96 | 27 |
| 56.60 | 23 |
| 53.24 | 19 |
| 88.93 | 14 |
| 25.31 | 13 |
| 74.78 | 12 |

For La6S4BrN3, a crystal structure in the Materials Project, relaxed with PBE gives the simulated PXRD pattern in this record (copper Kα).
No peak broadening, texture or thermal motion is included.

Structure:
Cell: 11.704 4.112 27.893 Å, 90.00 90.00 90.00°
Atoms (fractional coordinates):
La  0.058  0.250  0.078
La  0.061  0.250  0.808
La  0.100  0.250  0.536
La  0.124  0.250  0.283
La  0.245  0.750  0.436
La  0.247  0.750  0.172
La  0.253  0.250  0.672
La  0.255  0.250  0.936
La  0.376  0.750  0.783
La  0.400  0.750  0.036
La  0.439  0.750  0.308
La  0.442  0.750  0.578
La  0.558  0.250  0.422
La  0.561  0.250  0.692
La  0.600  0.250  0.964
La  0.624  0.250  0.217
La  0.745  0.750  0.064
La  0.747  0.750  0.328
La  0.753  0.250  0.828
La  0.755  0.250  0.564
La  0.876  0.750  0.717
La  0.900  0.750  0.464
La  0.939  0.750  0.192
La  0.942  0.750  0.922
S  0.136  0.750  0.736
S  0.146  0.750  0.995
S  0.190  0.750  0.863
S  0.207  0.750  0.602
S  0.293  0.250  0.102
S  0.310  0.250  0.363
S  0.354  0.250  0.495
S  0.364  0.250  0.236
S  0.636  0.750  0.764
S  0.646  0.750  0.505
S  0.690  0.750  0.637
S  0.707  0.750  0.898
S  0.793  0.250  0.398
S  0.810  0.250  0.137
S  0.854  0.250  0.005
S  0.864  0.250  0.264
Br  0.038  0.750  0.362
Br  0.462  0.250  0.862
Br  0.538  0.750  0.138
Br  0.962  0.250  0.638
N  0.063  0.750  0.126
N  0.098  0.750  0.486
N  0.113  0.750  0.237
N  0.387  0.250  0.737
N  0.402  0.250  0.986
N  0.437  0.250  0.626
N  0.563  0.750  0.374
N  0.598  0.750  0.014
N  0.613  0.750  0.263
N  0.887  0.250  0.763
N  0.902  0.250  0.514
N  0.937  0.250  0.874

The 12 most intense peaks (2θ from 15° to 90°), by intensity:
| two_theta | I (rel.) |
| --- | --- |
| 26.17 | 100 |
| 26.29 | 72 |
| 31.26 | 39 |
| 33.08 | 36 |
| 44.05 | 32 |
| 28.01 | 32 |
| 51.96 | 31 |
| 44.72 | 30 |
| 32.10 | 21 |
| 37.13 | 21 |
| 36.25 | 19 |
| 37.88 | 18 |

For La3NiBr3, a crystal structure in the Materials Project, relaxed with PBE gives the simulated PXRD pattern in this record (copper Kα).
No peak broadening, texture or thermal motion is included.

Structure:
Cell: 10.416 10.416 10.416 Å, 108.12 108.12 112.21°
Atoms (fractional coordinates):
La  0.092  0.355  0.995
La  0.105  0.611  0.763
La  0.112  0.112  0.225
La  0.361  0.098  0.005
La  0.389  0.895  0.237
La  0.638  0.362  0.500
La  0.645  0.908  0.005
La  0.658  0.152  0.763
La  0.848  0.342  0.237
La  0.862  0.138  0.500
La  0.888  0.888  0.775
La  0.902  0.639  0.995
Ni  0.127  0.873  0.000
Ni  0.623  0.123  0.246
Ni  0.873  0.127  0.000
Ni  0.877  0.377  0.754
Br  0.134  0.634  0.268
Br  0.137  0.136  0.745
Br  0.142  0.387  0.501
Br  0.359  0.114  0.501
Br  0.366  0.866  0.732
Br  0.384  0.616  0.000
Br  0.391  0.392  0.255
Br  0.608  0.609  0.745
Br  0.613  0.858  0.499
Br  0.616  0.384  0.000
Br  0.864  0.863  0.255
Br  0.886  0.641  0.499

The 12 most intense peaks (2θ from 15° to 90°), by intensity:
| two_theta | I (rel.) |
| --- | --- |
| 29.22 | 100 |
| 42.96 | 59 |
| 30.78 | 39 |
| 41.79 | 36 |
| 52.80 | 31 |
| 28.24 | 19 |
| 77.12 | 18 |
| 35.18 | 15 |
| 68.66 | 14 |
| 69.50 | 12 |
| 60.59 | 11 |
| 27.72 | 9 |

For La8Ni4Br7, a crystal structure in the Materials Project, relaxed with PBE gives the simulated PXRD pattern in this record (copper Kα).
No peak broadening, texture or thermal motion is included.

Structure:
Cell: 14.969 14.969 8.792 Å, 94.20 94.20 15.48°
Atoms (fractional coordinates):
La  0.013  0.013  0.311
La  0.210  0.210  0.723
La  0.374  0.374  0.561
La  0.402  0.402  0.150
La  0.598  0.598  0.850
La  0.626  0.626  0.439
La  0.790  0.790  0.277
La  0.987  0.987  0.689
Ni  0.100  0.100  0.635
Ni  0.459  0.459  0.446
Ni  0.541  0.541  0.554
Ni  0.900  0.900  0.365
Br  0.104  0.104  0.146
Br  0.212  0.212  0.368
Br  0.302  0.302  0.017
Br  0.500  0.500  0.000
Br  0.698  0.698  0.983
Br  0.788  0.788  0.632
Br  0.896  0.896  0.854

The 12 most intense peaks (2θ from 15° to 90°), by intensity:
| two_theta | I (rel.) |
| --- | --- |
| 30.42 | 100 |
| 30.20 | 80 |
| 26.80 | 73 |
| 33.08 | 70 |
| 37.93 | 68 |
| 44.96 | 66 |
| 33.80 | 61 |
| 29.06 | 49 |
| 31.03 | 47 |
| 36.10 | 46 |
| 39.89 | 38 |
| 31.89 | 30 |

For La2Br2O, a crystal structure in the Materials Project, relaxed with PBE gives the simulated PXRD pattern in this record (copper Kα).
No peak broadening, texture or thermal motion is included.

Structure:
Cell: 4.607 4.607 13.864 Å, 90.00 90.00 90.00°
Atoms (fractional coordinates):
La  0.000  0.000  0.152
La  0.000  0.000  0.848
Br  0.000  0.000  0.350
Br  0.000  0.000  0.650
O  0.000  0.000  0.000

The 12 most intense peaks (2θ from 15° to 90°), by intensity:
| two_theta | I (rel.) |
| --- | --- |
| 19.26 | 100 |
| 27.37 | 44 |
| 32.32 | 28 |
| 43.95 | 22 |
| 37.90 | 18 |
| 43.84 | 17 |
| 60.20 | 17 |
| 39.10 | 16 |
| 51.61 | 15 |
| 48.30 | 14 |
| 56.44 | 13 |
| 25.70 | 12 |